Simulated powder diffraction line list
Compound: Rb3HoO3
Radiation: Cu Ka
Structure: the GGA-PBE geometry in the Materials Project
No peak broadening, texture or thermal motion is included.

Most intense lines, 2θ = 10–90°, in order of rising 2θ:
15.53 deg, 5.706 Å, I = 39
26.63 deg, 3.347 Å, I = 49
27.12 deg, 3.288 Å, I = 100
27.68 deg, 3.223 Å, I = 28
29.38 deg, 3.040 Å, I = 62
38.78 deg, 2.322 Å, I = 24

Structural model:
Cell: 10.2361 6.6945 11.3719 Å, 90.00 106.43 90.00°
Sites, in units of the cell vectors:
Rb1 0.0259 0.0443 0.1621
Rb2 0.0259 0.4557 0.6621
Rb3 0.2402 0.0285 0.5742
Rb4 0.2402 0.4715 0.0742
Rb5 0.3915 0.0200 0.2779
Rb6 0.3915 0.4800 0.7779
Rb7 0.6085 0.5200 0.2221
Rb8 0.6085 0.9800 0.7221
Rb9 0.7598 0.5285 0.9258
Rb10 0.7598 0.9715 0.4258
Rb11 0.9741 0.5443 0.3379
Rb12 0.9741 0.9557 0.8379
Ho1 0.3373 0.0004 0.9487
Ho2 0.3373 0.4996 0.4487
Ho3 0.6627 0.9996 0.0513
Ho4 0.6627 0.5004 0.5513
O1 0.2095 0.6275 0.5448
O2 0.2095 0.8725 0.0448
O3 0.2151 0.1612 0.7972
O4 0.2151 0.3388 0.2972
O5 0.4916 0.1825 0.0748
O6 0.4916 0.3175 0.5748
O7 0.5084 0.6825 0.4252
O8 0.5084 0.8175 0.9252
O9 0.7849 0.6612 0.7028
O10 0.7849 0.8388 0.2028
O11 0.7905 0.1275 0.9552
O12 0.7905 0.3725 0.4552